For MgFe2Sb4O12, a PBE+U-relaxed structure gives the simulated XRD peak list in this record (Cu Kα).
Neutral-atom scattering factors, no anomalous dispersion.

Main lines, by angle (10 to 90 degrees two-theta):
| 2theta | Rel. int. |
| --- | --- |
| 25.1 | 72 |
| 26.0 | 64 |
| 33.0 | 100 |
| 36.3 | 19 |
| 36.6 | 15 |
| 49.4 | 22 |
| 49.6 | 26 |
| 50.3 | 24 |
| 50.5 | 24 |
| 51.5 | 13 |
| 53.4 | 13 |
| 63.1 | 17 |

Structure:
a b c (Å): 4.9155 9.7621 4.9561
angles (deg): 90.00 91.85 90.00
Space group P2 (No. 3)
Unique sites:
Mg: 0.0000 0.0000 0.0000
Fe: 0.0000 0.4635 0.5000
Fe: 0.5000 0.9385 0.0000
Sb: 0.0000 0.1539 0.5000
Sb: 0.0000 0.7743 0.5000
Sb: 0.5000 0.2952 0.0000
Sb: 0.5000 0.6200 0.0000
O: 0.1955 0.9245 0.7003
O: 0.2075 0.6235 0.6921
O: 0.2260 0.3026 0.6866
O: 0.2870 0.1319 0.1494
O: 0.2896 0.7721 0.1925
O: 0.3079 0.4584 0.1745